# 1
Starting from a cell relaxed with GGA-PBE, the XRD peak list of TbNdInSn was simulated for Cu Kα (λ = 1.5418 Å).
Kinematic intensities with the Lorentz-polarization factor, no thermal factor.

Most intense lines, 10 to 90 degrees two-theta, by angle:
2θ 29.1, rel. 100; 2θ 30.0, rel. 22; 2θ 30.7, rel. 31; 2θ 36.5, rel. 70; 2θ 37.1, rel. 18; 2θ 38.9, rel. 27; 2θ 41.3, rel. 23; 2θ 50.3, rel. 16; 2θ 58.0, rel. 17; 2θ 67.8, rel. 15

Cell and atoms:
abc: 4.3765 6.2678 6.2678
angles: 43.38 90.00 90.00
Element x y z (fractional)
1 Tb 0.0000 0.0000 0.0000
2 Nd 0.5000 0.2740 0.2740
3 In 0.0000 0.7224 0.7224
4 Sn 0.5000 0.5505 0.5505

---

# 2
Starting from a cell relaxed with GGA-PBE, the XRD peak list of SrNd2In6 was simulated for Cu Kα (λ = 1.5418 Å).
Kinematic intensities with the Lorentz-polarization factor, no thermal factor.

Most intense lines, 10 to 90 degrees two-theta, by angle:
2θ 31.2, rel. 100; 2θ 35.6, rel. 77; 2θ 43.0, rel. 8; 2θ 47.9, rel. 11; 2θ 48.0, rel. 30; 2θ 61.1, rel. 31; 2θ 61.2, rel. 28; 2θ 63.9, rel. 13; 2θ 83.7, rel. 13; 2θ 83.8, rel. 12

Cell and atoms:
abc: 8.7390 8.7390 3.7983
angles: 90.00 90.00 120.00
Element x y z (fractional)
1 Sr 0.0000 0.0000 0.0000
2 Nd 0.3333 0.6667 0.0000
3 Nd 0.6667 0.3333 0.0000
4 In 0.0000 0.3358 0.5000
5 In 0.0000 0.6642 0.5000
6 In 0.3358 0.0000 0.5000
7 In 0.3358 0.3358 0.5000
8 In 0.6642 0.0000 0.5000
9 In 0.6642 0.6642 0.5000

---

# 3
Starting from a cell relaxed with GGA-PBE, the XRD peak list of SrNdIn6 was simulated for Cu Kα (λ = 1.5418 Å).
Kinematic intensities with the Lorentz-polarization factor, no thermal factor.

Most intense lines, 10 to 90 degrees two-theta, by angle:
2θ 32.4, rel. 100; 2θ 37.5, rel. 17; 2θ 37.6, rel. 33; 2θ 54.2, rel. 34; 2θ 64.5, rel. 13; 2θ 64.6, rel. 26; 2θ 67.8, rel. 11; 2θ 80.3, rel. 4; 2θ 89.1, rel. 11; 2θ 89.3, rel. 6

Cell and atoms:
abc: 4.7828 4.7828 9.5943
angles: 90.00 90.00 90.00
Element x y z (fractional)
1 Sr 0.0000 0.0000 0.0000
2 Nd 0.0000 0.0000 0.5000
3 In 0.0000 0.5000 0.2548
4 In 0.0000 0.5000 0.7452
5 In 0.5000 0.0000 0.2548
6 In 0.5000 0.0000 0.7452
7 In 0.5000 0.5000 0.0000
8 In 0.5000 0.5000 0.5000

---

Please write out number 3 again, unchanged.
Starting from a cell relaxed with GGA-PBE, the XRD peak list of SrNdIn6 was simulated for Cu Kα (λ = 1.5418 Å).
Kinematic intensities with the Lorentz-polarization factor, no thermal factor.

Most intense lines, 10 to 90 degrees two-theta, by angle:
2θ 32.4, rel. 100; 2θ 37.5, rel. 17; 2θ 37.6, rel. 33; 2θ 54.2, rel. 34; 2θ 64.5, rel. 13; 2θ 64.6, rel. 26; 2θ 67.8, rel. 11; 2θ 80.3, rel. 4; 2θ 89.1, rel. 11; 2θ 89.3, rel. 6

Cell and atoms:
abc: 4.7828 4.7828 9.5943
angles: 90.00 90.00 90.00
Element x y z (fractional)
1 Sr 0.0000 0.0000 0.0000
2 Nd 0.0000 0.0000 0.5000
3 In 0.0000 0.5000 0.2548
4 In 0.0000 0.5000 0.7452
5 In 0.5000 0.0000 0.2548
6 In 0.5000 0.0000 0.7452
7 In 0.5000 0.5000 0.0000
8 In 0.5000 0.5000 0.5000

---

Please write out number 2 again, unchanged.
Starting from a cell relaxed with GGA-PBE, the XRD peak list of SrNd2In6 was simulated for Cu Kα (λ = 1.5418 Å).
Kinematic intensities with the Lorentz-polarization factor, no thermal factor.

Most intense lines, 10 to 90 degrees two-theta, by angle:
2θ 31.2, rel. 100; 2θ 35.6, rel. 77; 2θ 43.0, rel. 8; 2θ 47.9, rel. 11; 2θ 48.0, rel. 30; 2θ 61.1, rel. 31; 2θ 61.2, rel. 28; 2θ 63.9, rel. 13; 2θ 83.7, rel. 13; 2θ 83.8, rel. 12

Cell and atoms:
abc: 8.7390 8.7390 3.7983
angles: 90.00 90.00 120.00
Element x y z (fractional)
1 Sr 0.0000 0.0000 0.0000
2 Nd 0.3333 0.6667 0.0000
3 Nd 0.6667 0.3333 0.0000
4 In 0.0000 0.3358 0.5000
5 In 0.0000 0.6642 0.5000
6 In 0.3358 0.0000 0.5000
7 In 0.3358 0.3358 0.5000
8 In 0.6642 0.0000 0.5000
9 In 0.6642 0.6642 0.5000